Calculated XRD peak list of Sr2La2MgRuO8 for a wavelength of 1.5418 Å, from the GGA-PBE geometry in the Materials Project.
Intensities are scaled so that the largest is 100.

Lattice parameters (Å, degrees): 3.899 3.899 12.752 90.00 90.00 90.00
Atoms (fractional coordinates):
Sr: 0.000 0.000 0.146
Sr: 0.000 0.000 0.854
La: 0.500 0.500 0.363
La: 0.500 0.500 0.637
Mg: 0.000 0.000 0.500
Ru: 0.500 0.500 0.000
O: 0.000 0.000 0.329
O: 0.000 0.000 0.671
O: 0.000 0.500 0.000
O: 0.000 0.500 0.500
O: 0.500 0.000 0.000
O: 0.500 0.000 0.500
O: 0.500 0.500 0.167
O: 0.500 0.500 0.833

The 12 most intense peaks (2θ from 10° to 90°), in order of falling intensity:
| two_theta | d_spacing | I_rel | (hkl) |
| --- | --- | --- | --- |
| 31.1 | 2.873 | 100 | 1 0 3 |
| 32.5 | 2.757 | 72 | 1 1 0 |
| 46.6 | 1.950 | 38 | 2 0 0 |
| 57.1 | 1.613 | 37 | 2 1 3 |
| 43.4 | 2.085 | 27 | 1 1 4 |
| 77.4 | 1.233 | 19 | 3 1 0 |
| 68.0 | 1.379 | 18 | 2 2 0 |
| 42.3 | 2.134 | 18 | 1 0 5 |
| 22.8 | 3.899 | 16 | 1 0 0 |
| 54.5 | 1.683 | 15 | 1 1 6 |
| 23.9 | 3.729 | 14 | 1 0 1 |
| 64.9 | 1.437 | 13 | 2 0 6 |


Calculated XRD peak list of Sr2La2MgRu3O12 for a wavelength of 1.5418 Å, from the GGA-PBE geometry in the Materials Project.
Intensities are scaled so that the largest is 100.

Lattice parameters (Å, degrees): 15.971 5.635 5.638 90.00 90.29 90.00
Atoms (fractional coordinates):
Sr: 0.123 0.007 0.027
Sr: 0.123 0.493 0.527
Sr: 0.877 0.507 0.473
Sr: 0.877 0.993 0.973
La: 0.383 0.516 0.469
La: 0.383 0.984 0.969
La: 0.617 0.016 0.031
La: 0.617 0.484 0.531
Mg: 0.500 0.000 0.500
Mg: 0.500 0.500 0.000
Ru: 0.000 0.000 0.500
Ru: 0.000 0.500 0.000
Ru: 0.249 0.007 0.502
Ru: 0.249 0.493 0.002
Ru: 0.751 0.507 0.998
Ru: 0.751 0.993 0.498
O: 0.019 0.228 0.772
O: 0.019 0.272 0.272
O: 0.124 0.570 0.989
O: 0.124 0.930 0.489
O: 0.228 0.223 0.777
O: 0.228 0.277 0.277
O: 0.276 0.724 0.726
O: 0.276 0.776 0.226
O: 0.370 0.087 0.520
O: 0.370 0.413 0.020
O: 0.477 0.720 0.720
O: 0.477 0.780 0.220
O: 0.523 0.220 0.780
O: 0.523 0.280 0.280
O: 0.630 0.587 0.980
O: 0.630 0.913 0.480
O: 0.724 0.224 0.774
O: 0.724 0.276 0.274
O: 0.772 0.723 0.723
O: 0.772 0.777 0.223
O: 0.876 0.070 0.511
O: 0.876 0.430 0.011
O: 0.981 0.728 0.728
O: 0.981 0.772 0.228

The 12 most intense peaks (2θ from 10° to 90°), in order of falling intensity:
| two_theta | d_spacing | I_rel | (hkl) |
| --- | --- | --- | --- |
| 31.7 | 2.822 | 100 | 4 1 -1 |
| 31.8 | 2.816 | 54 | 4 1 1 |
| 45.5 | 1.994 | 44 | 0 2 2 |
| 56.5 | 1.628 | 33 | 4 3 1 |
| 56.6 | 1.625 | 17 | 8 0 2 |
| 66.4 | 1.408 | 16 | 8 2 2 |
| 56.4 | 1.632 | 13 | 8 0 -2 |
| 23.0 | 3.868 | 12 | 1 1 -1 |
| 75.4 | 1.261 | 11 | 12 1 1 |
| 75.5 | 1.260 | 8 | 4 3 3 |
| 24.9 | 3.571 | 7 | 2 1 -1 |
| 66.1 | 1.413 | 7 | 8 2 -2 |


Calculated XRD peak list of Sr6La4Mg2Ru3O20 for a wavelength of 1.5418 Å, from the GGA-PBE geometry in the Materials Project.
Intensities are scaled so that the largest is 100.

Lattice parameters (Å, degrees): 3.958 6.033 23.748 86.04 85.59 75.24
Atoms (fractional coordinates):
Sr: 0.099 0.277 0.125
Sr: 0.134 0.352 0.667
Sr: 0.166 0.170 0.936
Sr: 0.834 0.830 0.064
Sr: 0.866 0.648 0.333
Sr: 0.901 0.723 0.875
La: 0.365 0.255 0.514
La: 0.419 0.787 0.738
La: 0.581 0.213 0.262
La: 0.635 0.745 0.486
Mg: 0.037 0.134 0.402
Mg: 0.963 0.866 0.598
Ru: 0.346 0.742 0.197
Ru: 0.500 0.500 0.000
Ru: 0.654 0.258 0.803
O: 0.000 0.000 0.500
O: 0.000 0.500 0.000
O: 0.033 0.244 0.324
O: 0.044 0.561 0.559
O: 0.154 0.260 0.801
O: 0.174 0.061 0.218
O: 0.306 0.858 0.117
O: 0.393 0.777 0.953
O: 0.397 0.618 0.280
O: 0.416 0.018 0.592
O: 0.487 0.583 0.825
O: 0.513 0.417 0.175
O: 0.584 0.982 0.408
O: 0.603 0.382 0.720
O: 0.607 0.223 0.047
O: 0.694 0.142 0.883
O: 0.826 0.939 0.782
O: 0.846 0.740 0.199
O: 0.956 0.439 0.441
O: 0.967 0.756 0.676

The 12 most intense peaks (2θ from 10° to 90°), in order of falling intensity:
| two_theta | d_spacing | I_rel | (hkl) |
| --- | --- | --- | --- |
| 28.6 | 3.122 | 100 | 1 0 -4 |
| 31.3 | 2.860 | 87 | 0 1 -7 |
| 29.6 | 3.020 | 72 | 1 1 5 |
| 28.0 | 3.190 | 64 | 0 1 -6 |
| 15.0 | 5.912 | 60 | 0 0 4 |
| 30.7 | 2.913 | 59 | 0 2 0 |
| 32.2 | 2.780 | 49 | 0 2 3 |
| 31.8 | 2.812 | 45 | 1 -1 2 |
| 46.2 | 1.965 | 43 | -1 2 4 |
| 27.6 | 3.234 | 42 | 1 1 4 |
| 46.0 | 1.973 | 39 | 2 1 1 |
| 59.1 | 1.564 | 33 | 2 2 9 |


Calculated XRD peak list of SrLaMgRuO6 for a wavelength of 1.5418 Å, from the GGA-PBE geometry in the Materials Project.
Intensities are scaled so that the largest is 100.

Lattice parameters (Å, degrees): 5.641 5.651 9.724 90.00 125.17 90.00
Atoms (fractional coordinates):
Sr: 0.000 0.226 0.000
Sr: 0.000 0.774 0.500
La: 0.515 0.282 0.500
La: 0.515 0.718 0.000
Mg: 0.255 0.247 0.750
Mg: 0.255 0.753 0.250
Ru: 0.754 0.249 0.251
Ru: 0.754 0.751 0.751
O: 0.083 0.240 0.494
O: 0.083 0.760 0.994
O: 0.446 0.267 0.008
O: 0.446 0.733 0.508
O: 0.522 0.038 0.293
O: 0.522 0.962 0.793
O: 0.573 0.484 0.791
O: 0.573 0.516 0.291
O: 0.921 0.029 0.709
O: 0.921 0.971 0.209
O: 0.981 0.473 0.213
O: 0.981 0.527 0.713

The 12 most intense peaks (2θ from 10° to 90°), in order of falling intensity:
| two_theta | d_spacing | I_rel | (hkl) |
| --- | --- | --- | --- |
| 31.7 | 2.822 | 100 | 1 1 1 |
| 31.8 | 2.812 | 51 | 1 1 -3 |
| 56.5 | 1.630 | 35 | 2 0 2 |
| 19.3 | 4.604 | 32 | 1 0 0 |
| 45.4 | 1.996 | 31 | 2 2 -2 |
| 56.6 | 1.625 | 23 | 3 1 -5 |
| 45.7 | 1.987 | 16 | 0 0 4 |
| 66.3 | 1.411 | 13 | 4 0 -4 |
| 39.1 | 2.304 | 12 | 2 0 0 |
| 37.4 | 2.401 | 11 | 1 0 2 |
| 66.5 | 1.406 | 8 | 2 2 -6 |
| 75.4 | 1.261 | 7 | 3 3 -5 |